1.
Sm2Cl: simulated powder X-ray diffraction pattern (Cu Kα (λ = 1.5418 Å)), based on a PBE-relaxed structure.
Neutral-atom scattering factors, no anomalous dispersion.

a b c (Å): 6.3228 3.6482 7.6219
angles (deg): 90.00 106.19 90.00
Space group C2/m (No. 12)
One atom of each set of equivalent atoms:
Sm1 0.2315 0.0000 0.1946 [4 per cell]
Cl1 0.0000 0.0000 0.5000 [2 per cell]

Largest 10 diffraction maxima, by angle, 2θ from 15° to 90°:
3.660 Å, I = 28, (0 0 2)
3.037 Å, I = 93, (2 0 0)
2.739 Å, I = 100, (1 1 1)
2.565 Å, I = 36, (2 0 1)
2.440 Å, I = 23, (0 0 3)
2.226 Å, I = 20, (1 1 2)
2.072 Å, I = 22, (2 0 2)
1.825 Å, I = 36, (0 2 0)
1.633 Å, I = 18, (3 1 1)
1.460 Å, I = 18, (3 1 2)

=====

2.
Ta4BeCo: simulated powder X-ray diffraction pattern (Cu Kα (λ = 1.5418 Å)), based on a PBE-relaxed structure.
Neutral-atom scattering factors, no anomalous dispersion.

a b c (Å): 6.1516 6.1516 4.8057
angles (deg): 90.00 90.00 90.00
Space group I422 (No. 97)
One atom of each set of equivalent atoms:
Ta1 0.1611 0.3389 0.2500 [8 per cell]
Be1 0.0000 0.0000 0.5000 [2 per cell]
Co1 0.0000 0.0000 0.0000 [2 per cell]

Largest 10 diffraction maxima, by angle, 2θ from 15° to 90°:
3.076 Å, I = 10, (2 0 0)
2.403 Å, I = 18, (0 0 2)
2.388 Å, I = 100, (2 1 1)
2.103 Å, I = 8, (1 1 2)
1.945 Å, I = 18, (3 1 0)
1.894 Å, I = 12, (2 0 2)
1.425 Å, I = 16, (4 1 1)
1.384 Å, I = 18, (2 1 3)
1.241 Å, I = 13, (3 3 2)
1.111 Å, I = 12, (5 2 1)

=====

3.
AgI: simulated powder X-ray diffraction pattern (Cu Kα (λ = 1.5418 Å)), based on a PBE-relaxed structure.
Neutral-atom scattering factors, no anomalous dispersion.

a b c (Å): 4.6710 4.6710 11.3936
angles (deg): 90.00 90.00 120.00
Space group P3_1 (No. 144)
One atom of each set of equivalent atoms:
Ag1 0.0205 0.3467 0.0000 [3 per cell]
I1 0.3218 0.0057 0.4158 [3 per cell]

Largest 10 diffraction maxima, by angle, 2θ from 15° to 90°:
3.808 Å, I = 100, (0 0 3)
2.336 Å, I = 39, (1 1 0)
2.329 Å, I = 39, (1 0 4)
1.990 Å, I = 36, (1 1 3)
1.985 Å, I = 12, (0 1 5)
1.649 Å, I = 13, (0 2 4)
1.515 Å, I = 9, (2 1 1)
1.348 Å, I = 19, (2 1 4)
1.270 Å, I = 11, (3 0 3)
1.116 Å, I = 7, (2 2 3)

=====

4.
PrPaCd: simulated powder X-ray diffraction pattern (Cu Kα (λ = 1.5418 Å)), based on a PBE-relaxed structure.
Neutral-atom scattering factors, no anomalous dispersion.

a b c (Å): 7.0993 7.0993 7.0993
angles (deg): 90.00 90.00 90.00
Space group F-43m (No. 216)
One atom of each set of equivalent atoms:
Pr1 0.0000 0.0000 0.0000 [4 per cell]
Pa1 0.2500 0.2500 0.2500 [4 per cell]
Cd1 0.2500 0.2500 0.7500 [4 per cell]

Largest 10 diffraction maxima, by angle, 2θ from 15° to 90°:
4.099 Å, I = 32, (1 1 1)
3.550 Å, I = 21, (2 0 0)
2.510 Å, I = 100, (2 2 0)
2.141 Å, I = 18, (3 1 1)
1.775 Å, I = 18, (4 0 0)
1.629 Å, I = 8, (3 3 1)
1.587 Å, I = 8, (4 2 0)
1.449 Å, I = 36, (4 2 2)
1.255 Å, I = 11, (4 4 0)
1.123 Å, I = 16, (6 2 0)

=====

5.
Sm2Ho2CI2BrCl2: simulated powder X-ray diffraction pattern (Cu Kα (λ = 1.5418 Å)), based on a PBE-relaxed structure.
Neutral-atom scattering factors, no anomalous dispersion.

a b c (Å): 17.7925 3.9014 8.3882
angles (deg): 90.00 101.11 90.00
Space group C2/m (No. 12)
One atom of each set of equivalent atoms:
Sm1 0.0051 0.0000 0.2988 [4 per cell]
Ho1 0.1366 0.5000 0.5643 [4 per cell]
C1 0.0000 0.5000 0.5000 [2 per cell]
I1 0.1715 0.0000 0.8437 [4 per cell]
Br1 0.0000 0.5000 0.0000 [2 per cell]
Cl1 0.1719 0.0000 0.3602 [4 per cell]

Largest 10 diffraction maxima, by angle, 2θ from 15° to 90°:
4.206 Å, I = 27, (4 0 -1)
3.132 Å, I = 21, (3 1 -1)
2.910 Å, I = 79, (6 0 0)
2.855 Å, I = 100, (1 1 -2)
2.602 Å, I = 23, (5 1 0)
2.484 Å, I = 20, (2 0 3)
2.095 Å, I = 15, (2 0 -4)
2.069 Å, I = 22, (5 1 2)
2.008 Å, I = 26, (7 1 -2)
1.951 Å, I = 18, (0 2 0)

=====

6.
TbZnGaNi3: simulated powder X-ray diffraction pattern (Cu Kα (λ = 1.5418 Å)), based on a PBE-relaxed structure.
Neutral-atom scattering factors, no anomalous dispersion.

a b c (Å): 5.1894 5.1894 3.8293
angles (deg): 90.00 90.00 120.00
Space group P-6m2 (No. 187)
One atom of each set of equivalent atoms:
Tb1 0.0000 0.0000 0.0000 [1 per cell]
Zn1 0.3333 0.6667 0.0000 [1 per cell]
Ga1 0.6667 0.3333 0.0000 [1 per cell]
Ni1 0.0000 0.5000 0.5000 [3 per cell]

Largest 10 diffraction maxima, by angle, 2θ from 15° to 90°:
2.915 Å, I = 40, (1 0 1)
2.595 Å, I = 36, (1 1 0)
2.247 Å, I = 33, (2 0 0)
2.148 Å, I = 100, (1 1 1)
1.915 Å, I = 21, (0 0 2)
1.541 Å, I = 15, (1 1 2)
1.457 Å, I = 16, (2 0 2)
1.395 Å, I = 24, (3 0 1)
1.297 Å, I = 17, (2 2 0)
1.145 Å, I = 13, (1 1 3)

=====

7.
Li4Ga2IrPd: simulated powder X-ray diffraction pattern (Cu Kα (λ = 1.5418 Å)), based on a PBE-relaxed structure.
Neutral-atom scattering factors, no anomalous dispersion.

a b c (Å): 4.2625 4.2625 6.0337
angles (deg): 90.00 90.00 90.00
Space group P-4m2 (No. 115)
One atom of each set of equivalent atoms:
Li1 0.0000 0.0000 0.0000 [1 per cell]
Li2 0.0000 0.5000 0.7494 [2 per cell]
Li3 0.5000 0.5000 0.5000 [1 per cell]
Ga1 0.0000 0.5000 0.2352 [2 per cell]
Ir1 0.5000 0.5000 0.0000 [1 per cell]
Pd1 0.0000 0.0000 0.5000 [1 per cell]

Largest 10 diffraction maxima, by angle, 2θ from 15° to 90°:
4.262 Å, I = 5, (1 0 0)
3.481 Å, I = 100, (1 0 1)
3.015 Å, I = 12, (0 0 2)
2.132 Å, I = 83, (2 0 0)
1.818 Å, I = 48, (2 1 1)
1.507 Å, I = 14, (2 2 0)
1.383 Å, I = 19, (3 0 1)
1.348 Å, I = 4, (1 1 4)
1.231 Å, I = 27, (3 1 2)
1.160 Å, I = 15, (3 2 1)